# 1
Computed XRD peak list
Compound: OsC3I2O3
Radiation: Cu Kα (weighted mean of Kα1 and Kα2)
Structure: a cell relaxed with GGA-PBE

Crystal structure
Cell lengths 11.5072, 8.5302, 10.4084 Å; angles 90.00, 106.48, 90.00 degrees
Space group C2/m (No. 12)
Inequivalent atoms, fractional coordinates:
Os 0.0631 0.0000 0.2088 [4 per cell]
C 0.0914 0.1615 0.3394 [8 per cell]
C 0.2257 0.0000 0.1975 [4 per cell]
I 0.0000 0.2206 0.0000 [4 per cell]
I 0.1744 0.0000 0.7764 [4 per cell]
O 0.1078 0.2611 0.4180 [8 per cell]
O 0.1740 0.5000 0.8038 [4 per cell]

Principal peaks in the range 10° ≤ 2θ ≤ 90°, by intensity:
2θ 13.12, rel. 100, (1 1 0)
2θ 27.51, rel. 52, (0 2 2)
2θ 16.03, rel. 32, (2 0 -1)
2θ 31.09, rel. 23, (4 0 -1)
2θ 34.18, rel. 18, (0 2 3)
2θ 42.10, rel. 17, (4 2 1)
2θ 20.21, rel. 17, (1 1 -2)
2θ 23.95, rel. 14, (1 1 2)
2θ 25.55, rel. 14, (3 1 -1)
2θ 36.14, rel. 12, (1 3 -2)
2θ 41.88, rel. 12, (4 2 -3)
2θ 17.77, rel. 11, (0 0 2)

# 2
Computed XRD peak list
Compound: Ca2SiSe4
Radiation: Cu Kα (weighted mean of Kα1 and Kα2)
Structure: a cell relaxed with GGA-PBE

Crystal structure
Cell lengths 14.3601, 8.6067, 6.5779 Å; angles 90.00, 90.00, 90.00 degrees
Space group Pnma (No. 62)
Inequivalent atoms, fractional coordinates:
Ca 0.0000 0.0000 0.0000 [4 per cell]
Ca 0.2273 0.2500 0.4816 [4 per cell]
Si 0.0931 0.7500 0.4018 [4 per cell]
Se 0.0565 0.2500 0.7275 [4 per cell]
Se 0.0939 0.7500 0.7487 [4 per cell]
Se 0.1689 0.5399 0.2594 [8 per cell]

Principal peaks in the range 10° ≤ 2θ ≤ 90°, by intensity:
2θ 27.71, rel. 100, (2 2 1)
2θ 28.32, rel. 65, (4 0 1)
2θ 36.59, rel. 52, (2 2 2)
2θ 43.26, rel. 35, (6 2 0)
2θ 48.27, rel. 31, (2 2 3)
2θ 27.11, rel. 25, (0 0 2)
2θ 41.99, rel. 20, (0 4 0)
2θ 16.08, rel. 19, (2 1 0)
2θ 48.66, rel. 16, (4 0 3)
2θ 37.07, rel. 15, (4 0 2)
2θ 25.50, rel. 14, (1 2 1)
2θ 51.42, rel. 14, (4 4 1)

# 3
Computed XRD peak list
Compound: CsHoCd17
Radiation: Cu Kα (weighted mean of Kα1 and Kα2)
Structure: a cell relaxed with GGA-PBE

Crystal structure
Cell lengths 10.3136, 10.3136, 15.2391 Å; angles 90.00, 90.00, 120.00 degrees
Space group R3m (No. 160, hexagonal axes)
Inequivalent atoms, fractional coordinates:
Cs 0.0000 0.0000 0.0000 [3 per cell]
Ho 0.0000 0.0000 0.6650 [3 per cell]
Cd 0.0000 0.0000 0.2488 [3 per cell]
Cd 0.0000 0.0000 0.4466 [3 per cell]
Cd 0.0042 0.2965 0.3370 [18 per cell]
Cd 0.0193 0.5096 0.1956 [9 per cell]
Cd 0.0237 0.5119 0.8327 [9 per cell]
Cd 0.0501 0.5250 0.4809 [9 per cell]

Principal peaks in the range 10° ≤ 2θ ≤ 90°, by intensity:
2θ 34.93, rel. 100, (0 3 3)
2θ 34.79, rel. 45, (2 2 0)
2θ 39.18, rel. 41, (2 2 3)
2θ 30.01, rel. 34, (3 0 0)
2θ 35.66, rel. 34, (2 0 5)
2θ 35.34, rel. 28, (0 0 6)
2θ 30.85, rel. 26, (0 2 4)
2θ 63.17, rel. 17, (0 3 9)
2θ 62.91, rel. 14, (4 2 5)
2θ 62.38, rel. 13, (6 0 0)
2θ 39.55, rel. 10, (1 1 6)
2θ 28.93, rel. 10, (1 2 2)

# 4
Computed XRD peak list
Compound: CePrPS
Radiation: Cu Kα (weighted mean of Kα1 and Kα2)
Structure: a cell relaxed with GGA-PBE

Crystal structure
Cell lengths 4.1126, 4.1126, 20.1807 Å; angles 90.00, 90.00, 120.00 degrees
Space group R3m (No. 160, hexagonal axes)
Inequivalent atoms, fractional coordinates:
Ce 0.0000 0.0000 0.0000 [3 per cell]
Pr 0.0000 0.0000 0.5028 [3 per cell]
P 0.0000 0.0000 0.2540 [3 per cell]
S 0.0000 0.0000 0.7490 [3 per cell]

Principal peaks in the range 10° ≤ 2θ ≤ 90°, by intensity:
2θ 30.73, rel. 100, (1 0 4)
2θ 26.53, rel. 75, (0 1 2)
2θ 44.01, rel. 73, (1 1 0)
2θ 52.13, rel. 37, (2 0 2)
2θ 72.66, rel. 32, (2 1 4)
2θ 54.63, rel. 25, (0 2 4)
2θ 80.96, rel. 18, (3 0 0)
2θ 64.00, rel. 12, (2 0 8)
2θ 87.03, rel. 9, (3 0 6)
2θ 70.59, rel. 7, (1 2 2)
2θ 70.50, rel. 7, (0 2 10)
2θ 80.84, rel. 6, (1 0 16)

# 5
Computed XRD peak list
Compound: Th4TlCu
Radiation: Cu Kα (weighted mean of Kα1 and Kα2)
Structure: a cell relaxed with GGA-PBE

Crystal structure
Cell lengths 7.6255, 7.6255, 5.8688 Å; angles 90.00, 90.00, 90.00 degrees
Space group P4/mcc (No. 124)
Inequivalent atoms, fractional coordinates:
Th 0.1442 0.3306 0.0000 [8 per cell]
Tl 0.5000 0.5000 0.2500 [2 per cell]
Cu 0.0000 0.0000 0.2500 [2 per cell]

Principal peaks in the range 10° ≤ 2θ ≤ 90°, by intensity:
2θ 30.31, rel. 100, (2 1 1)
2θ 37.29, rel. 35, (3 1 0)
2θ 34.81, rel. 22, (1 1 2)
2θ 38.72, rel. 21, (2 0 2)
2θ 54.04, rel. 21, (2 1 3)
2θ 60.40, rel. 19, (3 3 2)
2θ 57.66, rel. 14, (4 0 2)
2θ 51.83, rel. 12, (4 1 1)
2θ 68.12, rel. 12, (5 2 1)
2θ 30.46, rel. 10, (0 0 2)
2θ 75.91, rel. 9, (3 1 4)
2θ 26.13, rel. 8, (2 1 0)

# 6
Computed XRD peak list
Compound: Tb4Cu3Ru
Radiation: Cu Kα (weighted mean of Kα1 and Kα2)
Structure: a cell relaxed with GGA-PBE

Crystal structure
Cell lengths 3.4470, 3.4470, 14.0579 Å; angles 90.00, 90.00, 90.00 degrees
Space group P4/mmm (No. 123)
Inequivalent atoms, fractional coordinates:
Tb 0.0000 0.0000 0.1194 [2 per cell]
Tb 0.0000 0.0000 0.3727 [2 per cell]
Cu 0.5000 0.5000 0.2502 [2 per cell]
Cu 0.5000 0.5000 0.5000 [1 per cell]
Ru 0.5000 0.5000 0.0000 [1 per cell]

Principal peaks in the range 10° ≤ 2θ ≤ 90°, by intensity:
2θ 36.51, rel. 100, (1 0 4)
2θ 36.88, rel. 49, (1 1 0)
2θ 66.20, rel. 34, (2 1 4)
2θ 65.48, rel. 17, (1 1 8)
2θ 53.14, rel. 17, (2 0 0)
2θ 25.85, rel. 14, (1 0 0)
2θ 77.59, rel. 11, (2 0 8)
2θ 52.04, rel. 9, (0 0 8)
2θ 89.80, rel. 8, (3 0 4)
2θ 88.06, rel. 8, (1 0 12)
2θ 25.34, rel. 7, (0 0 4)
2θ 45.28, rel. 6, (1 1 4)

# 7
Computed XRD peak list
Compound: Mn2VBr6
Radiation: Cu Kα (weighted mean of Kα1 and Kα2)
Structure: a cell relaxed with GGA-PBE

Crystal structure
Cell lengths 17.6247, 3.8678, 8.1863 Å; angles 90.00, 107.61, 90.00 degrees
Space group C2/m (No. 12)
Inequivalent atoms, fractional coordinates:
Mn 0.1668 0.0000 0.3326 [4 per cell]
V 0.0000 0.5000 0.0000 [2 per cell]
Br 0.0059 0.0000 0.2252 [4 per cell]
Br 0.1577 0.5000 0.0974 [4 per cell]
Br 0.1725 0.5000 0.5672 [4 per cell]

Principal peaks in the range 10° ≤ 2θ ≤ 90°, by intensity:
2θ 31.90, rel. 100, (6 0 0)
2θ 12.94, rel. 52, (2 0 -1)
2θ 28.02, rel. 36, (3 1 0)
2θ 46.98, rel. 34, (0 2 0)
2θ 44.53, rel. 22, (7 1 -2)
2θ 40.86, rel. 12, (3 1 -3)
2θ 26.05, rel. 12, (4 0 -2)
2θ 57.96, rel. 11, (6 2 0)
2θ 44.38, rel. 11, (2 0 -4)
2θ 77.64, rel. 9, (1 3 -2)
2θ 87.31, rel. 9, (5 3 2)
2θ 56.51, rel. 7, (9 1 -3)

# 8
Computed XRD peak list
Compound: TlPdAuO4
Radiation: Cu Kα (weighted mean of Kα1 and Kα2)
Structure: a cell relaxed with GGA-PBE

Crystal structure
Cell lengths 6.2479, 6.7382, 9.8056 Å; angles 90.00, 90.00, 90.00 degrees
Space group Imma (No. 74)
Inequivalent atoms, fractional coordinates:
Tl 0.0000 0.0000 0.0000 [4 per cell]
Pd 0.2500 0.2500 0.2500 [4 per cell]
Au 0.0000 0.2500 0.7069 [4 per cell]
O 0.0000 0.0514 0.2508 [8 per cell]
O 0.2358 0.2500 0.0423 [8 per cell]

Principal peaks in the range 10° ≤ 2θ ≤ 90°, by intensity:
2θ 32.24, rel. 100, (0 2 2)
2θ 32.90, rel. 95, (2 1 1)
2θ 30.87, rel. 75, (1 0 3)
2θ 31.52, rel. 74, (1 2 1)
2θ 16.83, rel. 61, (1 0 1)
2θ 36.66, rel. 41, (0 0 4)
2θ 56.24, rel. 37, (1 2 5)
2θ 43.61, rel. 35, (2 2 2)
2θ 50.93, rel. 34, (2 3 1)
2θ 28.57, rel. 32, (2 0 0)
2θ 68.98, rel. 25, (4 2 2)
2θ 42.20, rel. 25, (2 1 3)

# 9
Computed XRD peak list
Compound: BaCa2I6
Radiation: Cu Kα (weighted mean of Kα1 and Kα2)
Structure: a cell relaxed with GGA-PBE

Crystal structure
Cell lengths 8.2823, 8.2823, 21.7910 Å; angles 90.00, 90.00, 120.00 degrees
Space group R3 (No. 146, hexagonal axes)
Inequivalent atoms, fractional coordinates:
Ba 0.0000 0.0000 0.0000 [3 per cell]
Ca 0.0000 0.0000 0.4992 [3 per cell]
Ca 0.0000 0.0000 0.6854 [3 per cell]
I 0.0120 0.3422 0.4290 [9 per cell]
I 0.0497 0.6869 0.2594 [9 per cell]

Principal peaks in the range 10° ≤ 2θ ≤ 90°, by intensity:
2θ 24.75, rel. 100, (2 -1 3)
2θ 32.80, rel. 37, (1 1 6)
2θ 37.62, rel. 31, (3 0 0)
2θ 43.29, rel. 21, (1 1 9)
2θ 45.55, rel. 15, (2 2 3)
2θ 24.51, rel. 13, (0 0 6)
2θ 64.43, rel. 11, (3 0 12)
2θ 60.51, rel. 11, (5 -1 3)
2θ 14.79, rel. 10, (0 1 2)
2θ 45.42, rel. 10, (0 3 6)
2θ 50.75, rel. 9, (4 -2 6)
2θ 58.65, rel. 9, (4 -2 9)

# 10
Computed XRD peak list
Compound: PmNd5N6
Radiation: Cu Kα (weighted mean of Kα1 and Kα2)
Structure: a cell relaxed with GGA-PBE

Crystal structure
Cell lengths 6.3152, 10.9386, 6.3157 Å; angles 90.00, 109.47, 90.00 degrees
Space group C2/m (No. 12)
Inequivalent atoms, fractional coordinates:
Pm 0.0000 0.0000 0.0000 [2 per cell]
Nd 0.0000 0.1664 0.5000 [4 per cell]
Nd 0.0000 0.3333 0.0000 [4 per cell]
Nd 0.0000 0.5000 0.5000 [2 per cell]
N 0.2487 0.0000 0.7508 [4 per cell]
N 0.2490 0.1659 0.2492 [8 per cell]

Principal peaks in the range 10° ≤ 2θ ≤ 90°, by intensity:
2θ 30.02, rel. 100, (2 0 0)
2θ 34.80, rel. 75, (1 3 1)
2θ 50.03, rel. 52, (2 0 2)
2θ 59.45, rel. 46, (3 3 1)
2θ 83.92, rel. 23, (4 6 0)
2θ 81.34, rel. 19, (4 0 2)
2θ 62.38, rel. 18, (4 0 0)
2θ 73.46, rel. 8, (2 6 2)

# 11
Computed XRD peak list
Compound: As3H
Radiation: Cu Kα (weighted mean of Kα1 and Kα2)
Structure: a cell relaxed with GGA-PBE

Crystal structure
Cell lengths 3.6479, 3.6680, 5.5650 Å; angles 90.00, 90.00, 90.00 degrees
Space group Pmm2 (No. 25)
Inequivalent atoms, fractional coordinates:
As 0.0000 0.0000 0.0000 [1 per cell]
As 0.0000 0.5000 0.2966 [1 per cell]
As 0.5000 0.0000 0.6797 [1 per cell]
H 0.5000 0.5000 0.7263 [1 per cell]

Principal peaks in the range 10° ≤ 2θ ≤ 90°, by intensity:
2θ 29.27, rel. 100, (1 0 1)
2θ 29.16, rel. 86, (0 1 1)
2θ 48.03, rel. 63, (1 1 2)
2θ 38.38, rel. 58, (1 1 1)
2θ 40.74, rel. 47, (0 1 2)
2θ 58.74, rel. 27, (1 2 1)
2θ 72.72, rel. 26, (2 0 3)
2θ 58.94, rel. 23, (2 1 1)
2θ 49.71, rel. 21, (0 2 0)
2θ 50.01, rel. 21, (2 0 0)
2θ 49.11, rel. 18, (0 0 3)
2θ 24.27, rel. 16, (0 1 0)

# 12
Computed XRD peak list
Compound: La2Er3Ga4
Radiation: Cu Kα (weighted mean of Kα1 and Kα2)
Structure: a cell relaxed with GGA-PBE

Crystal structure
Cell lengths 8.0257, 8.0237, 7.6802 Å; angles 90.00, 107.13, 90.00 degrees
Space group P2_1/c (No. 14)
Inequivalent atoms, fractional coordinates:
La 0.1918 0.1779 0.0750 [4 per cell]
Er 0.2444 0.6756 0.2504 [4 per cell]
Er 0.5000 0.0000 0.5000 [2 per cell]
Ga 0.0794 0.5332 0.8709 [4 per cell]
Ga 0.4972 0.1172 0.8766 [4 per cell]

Principal peaks in the range 10° ≤ 2θ ≤ 90°, by intensity:
2θ 31.99, rel. 100, (1 1 2)
2θ 32.29, rel. 41, (2 2 0)
2θ 36.87, rel. 38, (1 1 -3)
2θ 35.73, rel. 29, (0 3 1)
2θ 36.46, rel. 22, (3 0 -2)
2θ 32.59, rel. 19, (1 2 -2)
2θ 54.72, rel. 18, (1 3 3)
2θ 30.43, rel. 18, (2 1 -2)
2θ 35.10, rel. 17, (3 0 0)
2θ 31.38, rel. 15, (2 1 1)
2θ 29.37, rel. 15, (1 2 1)
2θ 28.28, rel. 14, (2 0 -2)

# 13
Computed XRD peak list
Compound: FeNi5W
Radiation: Cu Kα (weighted mean of Kα1 and Kα2)
Structure: a cell relaxed with GGA-PBE

Crystal structure
Cell lengths 7.2743, 4.9407, 9.7224 Å; angles 90.00, 90.00, 90.00 degrees
Space group Cmcm (No. 63)
Inequivalent atoms, fractional coordinates:
Fe 0.0000 0.1067 0.2500 [4 per cell]
Ni 0.0000 0.4186 0.7500 [4 per cell]
Ni 0.2235 0.1595 0.6190 [16 per cell]
W 0.0000 0.5000 0.0000 [4 per cell]

Principal peaks in the range 10° ≤ 2θ ≤ 90°, by intensity:
2θ 44.85, rel. 100, (2 0 4)
2θ 28.53, rel. 65, (1 1 2)
2θ 21.74, rel. 63, (1 1 0)
2θ 45.35, rel. 45, (2 2 1)
2θ 44.33, rel. 38, (2 2 0)
2θ 43.31, rel. 34, (1 1 4)
2θ 50.16, rel. 31, (4 0 0)
2θ 41.48, rel. 28, (3 1 0)
2θ 46.21, rel. 27, (0 2 3)
2θ 52.84, rel. 23, (0 2 4)
2θ 45.67, rel. 20, (3 1 2)
2θ 75.84, rel. 13, (4 2 4)